Structure and computed powder diffractogram of Mg6TiSi (a cell relaxed with PBE; Cu Kα (weighted mean of Kα1 and Kα2)).
Lines closer than 0.1° are merged.

The 12 most intense peaks (15 to 90 degrees two-theta), by intensity:
- hkl 1 2 2, 2θ = 38.14°, rel. 100
- hkl 1 0 4, 2θ = 38.53°, rel. 55
- hkl 2 0 0, 2θ = 37.61°, rel. 37
- hkl 0 2 2, 2θ = 33.03°, rel. 32
- hkl 2 2 2, 2θ = 50.90°, rel. 17
- hkl 2 2 6, 2θ = 72.60°, rel. 17
- hkl 0 2 6, 2θ = 59.55°, rel. 17
- hkl 3 2 2, 2θ = 68.23°, rel. 16
- hkl 1 4 4, 2θ = 72.44°, rel. 15
- hkl 2 4 0, 2θ = 71.84°, rel. 10
- hkl 0 1 1, 2θ = 16.34°, rel. 10
- hkl 0 4 0, 2θ = 58.71°, rel. 9

Structural model:
Lattice parameters (Å, degrees): 4.7837 6.2904 10.7108 90.00 90.00 90.00
Space group Amm2 (No. 38)
Asymmetric unit:
1 Mg 0.0000 0.0000 0.0000 (multiplicity 2)
2 Mg 0.0000 0.2467 0.2500 (multiplicity 4)
3 Mg 0.5000 0.0000 0.8340 (multiplicity 2)
4 Mg 0.5000 0.2467 0.5799 (multiplicity 4)
5 Ti 0.0000 0.0000 0.4882 (multiplicity 2)
6 Si 0.5000 0.0000 0.3513 (multiplicity 2)

Structure and computed powder diffractogram of Tm2MgSi2 (a cell relaxed with PBE; Cu Kα (weighted mean of Kα1 and Kα2)).
Lines closer than 0.1° are merged.

The 12 most intense peaks (15 to 90 degrees two-theta), by intensity:
- hkl 2 1 1, 2θ = 35.57°, rel. 100
- hkl 2 1 0, 2θ = 28.19°, rel. 47
- hkl 2 0 1, 2θ = 33.17°, rel. 45
- hkl 0 0 1, 2θ = 21.25°, rel. 37
- hkl 4 1 1, 2θ = 58.08°, rel. 27
- hkl 2 0 0, 2θ = 25.16°, rel. 25
- hkl 4 1 0, 2θ = 53.37°, rel. 19
- hkl 3 1 0, 2θ = 40.29°, rel. 18
- hkl 2 1 2, 2θ = 52.46°, rel. 17
- hkl 0 0 2, 2θ = 43.29°, rel. 17
- hkl 4 1 2, 2θ = 71.06°, rel. 16
- hkl 3 3 1, 2θ = 59.67°, rel. 16

Structural model:
Lattice parameters (Å, degrees): 7.0785 7.0785 4.1804 90.00 90.00 90.00
Space group P4/mbm (No. 127)
Asymmetric unit:
1 Tm 0.1782 0.3218 0.0000 (multiplicity 4)
2 Mg 0.0000 0.0000 0.5000 (multiplicity 2)
3 Si 0.1193 0.6193 0.5000 (multiplicity 4)

Structure and computed powder diffractogram of Mg14VSi (a cell relaxed with PBE; Cu Kα (weighted mean of Kα1 and Kα2)).
Lines closer than 0.1° are merged.

The 12 most intense peaks (15 to 90 degrees two-theta), by intensity:
- hkl 2 0 2, 2θ = 37.72°, rel. 100
- hkl 0 0 4, 2θ = 35.05°, rel. 27
- hkl 2 0 0, 2θ = 33.25°, rel. 24
- hkl 2 0 6, 2θ = 64.64°, rel. 19
- hkl 2 2 4, 2θ = 70.88°, rel. 19
- hkl 2 2 0, 2θ = 59.41°, rel. 16
- hkl 2 0 4, 2θ = 49.08°, rel. 15
- hkl 4 0 2, 2θ = 72.55°, rel. 13
- hkl 1 0 0, 2θ = 16.45°, rel. 3
- hkl 4 0 4, 2θ = 80.57°, rel. 3
- hkl 2 0 8, 2θ = 83.63°, rel. 3
- hkl 0 0 8, 2θ = 74.06°, rel. 3

Structural model:
Lattice parameters (Å, degrees): 6.2230 6.2230 10.2412 90.00 90.00 120.00
Space group P-6m2 (No. 187)
Asymmetric unit:
1 Mg 0.0000 0.0000 0.2490 (multiplicity 2)
2 Mg 0.0067 0.5033 0.2498 (multiplicity 6)
3 Mg 0.3317 0.1659 0.5000 (multiplicity 3)
4 Mg 0.3345 0.1673 0.0000 (multiplicity 3)
5 V 0.3333 0.6667 0.0000 (multiplicity 1)
6 Si 0.3333 0.6667 0.5000 (multiplicity 1)

Structure and computed powder diffractogram of Mg6VSi (a cell relaxed with PBE; Cu Kα (weighted mean of Kα1 and Kα2)).
Lines closer than 0.1° are merged.

The 12 most intense peaks (15 to 90 degrees two-theta), by intensity:
- hkl 1 2 2, 2θ = 39.21°, rel. 100
- hkl 1 0 4, 2θ = 37.96°, rel. 59
- hkl 2 0 0, 2θ = 36.16°, rel. 43
- hkl 0 2 2, 2θ = 34.61°, rel. 27
- hkl 2 2 6, 2θ = 72.33°, rel. 20
- hkl 3 2 2, 2θ = 67.07°, rel. 19
- hkl 0 2 6, 2θ = 60.25°, rel. 18
- hkl 2 2 2, 2θ = 50.92°, rel. 17
- hkl 1 4 4, 2θ = 75.89°, rel. 14
- hkl 0 0 4, 2θ = 33.22°, rel. 12
- hkl 3 0 4, 2θ = 66.22°, rel. 10
- hkl 2 4 0, 2θ = 74.76°, rel. 9

Structural model:
Lattice parameters (Å, degrees): 4.9680 5.9096 10.7879 90.00 90.00 90.00
Space group Amm2 (No. 38)
Asymmetric unit:
1 Mg 0.0000 0.0000 0.0000 (multiplicity 2)
2 Mg 0.0000 0.0000 0.4979 (multiplicity 2)
3 Mg 0.0000 0.2468 0.2552 (multiplicity 4)
4 Mg 0.5000 0.2493 0.5885 (multiplicity 4)
5 V 0.5000 0.0000 0.3394 (multiplicity 2)
6 Si 0.5000 0.0000 0.8383 (multiplicity 2)